Ba2SmMgSbO6: theoretical powder X-ray diffraction pattern (Cu Kα, 1.54184 Å), based on a DFT-relaxed cell (GGA-PBE, the Materials Project).

Principal peaks in the range 2θ from 10° to 90°, in order of rising 2θ:
| 2θ (°) | d [Å] | I (rel.) |
| --- | --- | --- |
| 18.5 | 4.797 | 55 |
| 24.2 | 3.682 | 16 |
| 27.6 | 3.230 | 32 |
| 28.3 | 3.157 | 100 |
| 35.5 | 2.527 | 20 |
| 39.4 | 2.288 | 18 |
| 50.0 | 1.823 | 21 |
| 58.5 | 1.579 | 19 |

Cell and atoms:
Unit cell a=6.3153 b=6.3153 c=7.6088 alpha=114.79 beta=114.79 gamma=59.98
Sites, in units of the cell vectors:
Ba 0.0000 0.0000 0.0000
Ba 0.5476 0.5476 0.6470
Sm 0.8230 0.8230 0.4747
Mg 0.2350 0.2350 0.7067
Sb 0.3780 0.3780 0.1425
O 0.0614 0.0614 0.7113
O 0.0629 0.5875 0.7137
O 0.1192 0.5762 0.2899
O 0.5762 0.1192 0.2899
O 0.5814 0.5814 0.3047
O 0.5875 0.0629 0.7137